Record 1
La2PmCuO5: calculated powder diffractogram (a wavelength of 1.5418 Å), based on a cell relaxed with GGA-PBE.
Intensities are scaled so that the largest is 100.

Atomic structure:
```
data_La2PmCuO5
_chemical_formula_sum 'La4 Pm2 Cu2 O10'
_symmetry_space_group_name_H-M 'P 4/m b m'
_symmetry_Int_Tables_number 127
_symmetry_space_group_name_Hall '-P 4 2ab'
_cell_length_a 6.6601
_cell_length_b 6.6601
_cell_length_c 5.8757
_cell_angle_alpha 90.00
_cell_angle_beta 90.00
_cell_angle_gamma 90.00
loop_
_atom_site_label
_atom_site_fract_x
_atom_site_fract_y
_atom_site_fract_z
La1 0.1636 0.3364 0.0000
Pm1 0.0000 0.0000 0.5000
Cu1 0.0000 0.5000 0.5000
O1 0.0000 0.0000 0.0000
O2 0.1647 0.6647 0.2722
```

Main lines, sorted by position (10° ≤ 2θ ≤ 80°):
d/Å	two_theta	I/Imax
3.675	24.22	30
2.978	30.00	25
2.938	30.43	49
2.897	30.86	100
2.657	33.74	70
2.355	38.22	25
2.106	42.94	28
2.092	43.26	48
1.688	54.34	22
1.602	57.53	20



Record 2
LiNi3Ir: calculated powder diffractogram (a wavelength of 1.5418 Å), based on a cell relaxed with GGA-PBE.
Intensities are scaled so that the largest is 100.

Atomic structure:
```
data_LiNi3Ir
_chemical_formula_sum 'Li2 Ni6 Ir2'
_symmetry_space_group_name_H-M 'P -1'
_symmetry_Int_Tables_number 2
_symmetry_space_group_name_Hall '-P 1'
_cell_length_a 2.5562
_cell_length_b 5.0202
_cell_length_c 9.3828
_cell_angle_alpha 82.36
_cell_angle_beta 82.18
_cell_angle_gamma 89.98
loop_
_atom_site_label
_atom_site_fract_x
_atom_site_fract_y
_atom_site_fract_z
Li1 0.1031 0.0488 0.2957
Ni1 0.2959 0.1521 0.9084
Ni2 0.2987 0.6493 0.9032
Ni3 0.4994 0.7443 0.5000
Ir1 0.1029 0.5497 0.2945
```

Main lines, sorted by position (10° ≤ 2θ ≤ 80°):
d/Å	two_theta	I/Imax
4.975	17.83	98
4.646	19.10	28
3.174	28.11	33
2.274	39.64	24
2.100	43.07	100
2.074	43.63	96
1.990	45.58	25
1.842	49.47	32
1.791	50.99	61
1.284	73.79	38



Record 3
PmNdHo2Er: calculated powder diffractogram (a wavelength of 1.5418 Å), based on a cell relaxed with GGA-PBE.
Intensities are scaled so that the largest is 100.

Atomic structure:
```
data_PmNdHo2Er
_chemical_formula_sum 'Pm4 Nd4 Ho8 Er4'
_symmetry_space_group_name_H-M 'C m c m'
_symmetry_Int_Tables_number 63
_symmetry_space_group_name_Hall '-C 2c 2'
_cell_length_a 6.4128
_cell_length_b 16.6590
_cell_length_c 6.4065
_cell_angle_alpha 90.00
_cell_angle_beta 90.00
_cell_angle_gamma 90.00
loop_
_atom_site_label
_atom_site_fract_x
_atom_site_fract_y
_atom_site_fract_z
Pm1 0.0000 0.1571 0.2500
Nd1 0.0000 0.3422 0.2500
Ho1 0.2505 0.0000 0.0000
Er1 0.0000 0.2532 0.7500
```

Main lines, sorted by position (10° ≤ 2θ ≤ 80°):
d/Å	two_theta	I/Imax
4.165	21.33	13
3.511	25.37	19
2.991	29.87	100
2.684	33.38	41
2.266	39.78	39
2.107	42.92	12
1.732	52.87	22
1.602	57.51	13
1.478	62.87	18
1.412	66.16	21



Record 4
NaFeAgBr5: calculated powder diffractogram (a wavelength of 1.5418 Å), based on a cell relaxed with GGA-PBE.
Intensities are scaled so that the largest is 100.

Atomic structure:
```
data_NaFeAgBr5
_chemical_formula_sum 'Na4 Fe4 Ag4 Br20'
_symmetry_space_group_name_H-M 'C 1 2/c 1'
_symmetry_Int_Tables_number 15
_symmetry_space_group_name_Hall '-C 2yc'
_cell_length_a 10.0155
_cell_length_b 11.8852
_cell_length_c 9.4709
_cell_angle_alpha 90.00
_cell_angle_beta 111.58
_cell_angle_gamma 90.00
loop_
_atom_site_label
_atom_site_fract_x
_atom_site_fract_y
_atom_site_fract_z
Na1 0.0000 0.1659 0.2500
Fe1 0.0000 0.1537 0.7500
Ag1 0.0000 0.5000 0.0000
Br1 0.0000 0.4069 0.2500
Br2 0.1184 0.2676 0.6286
Br3 0.1664 0.0350 0.9313
```

Main lines, sorted by position (10° ≤ 2θ ≤ 80°):
d/Å	two_theta	I/Imax
4.971	17.84	40
4.657	19.06	49
4.375	20.30	45
3.796	23.43	40
3.538	25.17	52
3.211	27.79	100
3.004	29.74	58
2.486	36.14	45
2.444	36.78	47
2.011	45.08	42